(1)
The following is a calculated powder diffraction line list of ReAsAu4. It was derived from a crystal structure in Alexandria, relaxed with PBE, using λ = 1.5418 Å (Cu Kα).
Neutral-atom scattering factors, no anomalous dispersion.

Peak list (10 most intense, 10° ≤ 2θ ≤ 80°, by angle)
two_theta, I (rel.)
19.9, 25
32.7, 15
38.6, 100
40.3, 55
46.9, 12
51.4, 7
58.4, 6
62.3, 33
68.6, 30
72.2, 5

Structural model:
Unit cell a=5.4753 b=5.4753 c=5.4753 alpha=60.00 beta=60.00 gamma=60.00
Fractional positions:
Re 0.0000 0.0000 0.0000
As 0.2500 0.2500 0.2500
Au 0.1244 0.6252 0.6252
Au 0.6252 0.1244 0.6252
Au 0.6252 0.6252 0.1244
Au 0.6252 0.6252 0.6252

(2)
The following is a calculated powder diffraction line list of U5Ru. It was derived from a crystal structure in Alexandria, relaxed with PBE, using λ = 1.5418 Å (Cu Kα).
Neutral-atom scattering factors, no anomalous dispersion.

Peak list (10 most intense, 10° ≤ 2θ ≤ 80°, by angle)
two_theta, I (rel.)
11.6, 2
18.4, 4
23.4, 2
35.4, 65
39.1, 100
50.9, 23
61.6, 7
66.0, 43
73.1, 17
74.9, 8

Structural model:
Unit cell a=5.0732 b=15.2110 c=3.0114 alpha=90.00 beta=90.00 gamma=90.00
Fractional positions:
U 0.0000 0.0000 0.0000
U 0.0000 0.1588 0.5000
U 0.0000 0.3319 0.0000
U 0.0000 0.6681 0.0000
U 0.0000 0.8412 0.5000
U 0.5000 0.1681 0.0000
U 0.5000 0.3412 0.5000
U 0.5000 0.5000 0.0000
U 0.5000 0.6588 0.5000
U 0.5000 0.8319 0.0000
Ru 0.0000 0.5000 0.5000
Ru 0.5000 0.0000 0.5000

(3)
The following is a calculated powder diffraction line list of KTl8Au2. It was derived from a crystal structure in Alexandria, relaxed with PBE, using λ = 1.5418 Å (Cu Kα).
Neutral-atom scattering factors, no anomalous dispersion.

Peak list (10 most intense, 10° ≤ 2θ ≤ 80°, by angle)
two_theta, I (rel.)
18.9, 32
26.9, 44
33.0, 100
38.4, 51
39.5, 67
48.4, 20
55.4, 23
63.4, 24
66.0, 28
76.5, 21

Structural model:
Unit cell a=6.6365 b=6.6365 c=9.4086 alpha=90.00 beta=90.00 gamma=90.00
Fractional positions:
K 0.0000 0.0000 0.0000
Tl 0.2525 0.2525 0.2984
Tl 0.2525 0.2525 0.7016
Tl 0.2525 0.7475 0.2984
Tl 0.2525 0.7475 0.7016
Tl 0.7475 0.2525 0.2984
Tl 0.7475 0.2525 0.7016
Tl 0.7475 0.7475 0.2984
Tl 0.7475 0.7475 0.7016
Au 0.0000 0.5000 0.5000
Au 0.5000 0.0000 0.5000

(4)
The following is a calculated powder diffraction line list of FeGe2Sb. It was derived from a crystal structure in Alexandria, relaxed with PBE, using λ = 1.5418 Å (Cu Kα).
Neutral-atom scattering factors, no anomalous dispersion.

Peak list (10 most intense, 10° ≤ 2θ ≤ 80°, by angle)
two_theta, I (rel.)
26.8, 100
27.7, 10
35.9, 17
44.3, 45
44.8, 18
52.1, 15
52.9, 23
63.2, 6
71.1, 9
71.8, 8

Structural model:
Unit cell a=5.7254 b=5.7254 c=11.6861 alpha=90.00 beta=90.00 gamma=90.00
Fractional positions:
Fe 0.0000 0.0000 0.0000
Fe 0.0000 0.5000 0.2500
Fe 0.5000 0.0000 0.7500
Fe 0.5000 0.5000 0.5000
Ge 0.1789 0.2500 0.1250
Ge 0.2500 0.6789 0.3750
Ge 0.2500 0.8211 0.8750
Ge 0.3211 0.2500 0.6250
Ge 0.6789 0.7500 0.6250
Ge 0.7500 0.1789 0.8750
Ge 0.7500 0.3211 0.3750
Ge 0.8211 0.7500 0.1250
Sb 0.0000 0.0000 0.5000
Sb 0.0000 0.5000 0.7500
Sb 0.5000 0.0000 0.2500
Sb 0.5000 0.5000 0.0000

(5)
The following is a calculated powder diffraction line list of Co3NiIr2. It was derived from a crystal structure in Alexandria, relaxed with PBE, using λ = 1.5418 Å (Cu Kα).
Neutral-atom scattering factors, no anomalous dispersion.

Peak list (10 most intense, 10° ≤ 2θ ≤ 80°, by angle)
two_theta, I (rel.)
14.0, 62
28.1, 63
40.2, 18
42.7, 100
42.9, 32
46.7, 21
46.8, 41
49.8, 21
65.1, 15
79.9, 15

Structural model:
Unit cell a=7.7638 b=7.7638 c=7.7638 alpha=119.85 beta=119.85 gamma=90.26
Fractional positions:
Co 0.0000 0.0000 0.0000
Co 0.0000 0.0000 0.5000
Co 0.0000 0.5000 0.0000
Co 0.1654 0.4154 0.3309
Co 0.1654 0.8346 0.7500
Co 0.4154 0.1654 0.8309
Co 0.4154 0.5846 0.2500
Co 0.5000 0.0000 0.5000
Co 0.5846 0.4154 0.7500
Co 0.5846 0.8346 0.1691
Co 0.8346 0.1654 0.2500
Co 0.8346 0.5846 0.6691
Ni 0.1681 0.4181 0.7500
Ni 0.4181 0.1681 0.2500
Ni 0.5819 0.8319 0.7500
Ni 0.8319 0.5819 0.2500
Ir 0.1572 0.2196 0.9376
Ir 0.2181 0.7804 0.4376
Ir 0.2196 0.1572 0.4376
Ir 0.2196 0.7819 0.0624
Ir 0.7804 0.2181 0.9376
Ir 0.7804 0.8428 0.5624
Ir 0.7819 0.2196 0.5624
Ir 0.8428 0.7804 0.0624

(6)
The following is a calculated powder diffraction line list of MnPd2Pt3. It was derived from a crystal structure in Alexandria, relaxed with PBE, using λ = 1.5418 Å (Cu Kα).
Neutral-atom scattering factors, no anomalous dispersion.

Peak list (10 most intense, 10° ≤ 2θ ≤ 80°, by angle)
two_theta, I (rel.)
32.7, 26
35.8, 73
39.1, 89
39.3, 88
43.1, 61
43.8, 85
47.4, 100
68.5, 19
71.4, 25
71.7, 24

Structural model:
Unit cell a=6.9931 b=6.9931 c=5.4917 alpha=101.06 beta=101.06 gamma=46.12
Fractional positions:
Mn 0.2490 0.7510 0.7500
Mn 0.7510 0.2490 0.2500
Pd 0.1575 0.1641 0.0812
Pd 0.1641 0.1575 0.5812
Pd 0.8359 0.8425 0.4188
Pd 0.8425 0.8359 0.9188
Pt 0.2408 0.7592 0.2500
Pt 0.3469 0.3480 0.4239
Pt 0.3480 0.3469 0.9239
Pt 0.6520 0.6531 0.0761
Pt 0.6531 0.6520 0.5761
Pt 0.7592 0.2408 0.7500

(7)
The following is a calculated powder diffraction line list of Zn2Ni2S. It was derived from a crystal structure in Alexandria, relaxed with PBE, using λ = 1.5418 Å (Cu Kα).
Neutral-atom scattering factors, no anomalous dispersion.

Peak list (10 most intense, 10° ≤ 2θ ≤ 80°, by angle)
two_theta, I (rel.)
21.0, 10
29.9, 5
32.0, 5
41.5, 100
48.2, 24
48.7, 16
62.2, 5
66.4, 6
69.6, 9
70.9, 14

Structural model:
Unit cell a=5.9732 b=5.9732 c=3.7387 alpha=90.00 beta=90.00 gamma=90.00
Fractional positions:
Zn 0.1485 0.3515 0.0000
Zn 0.3515 0.8515 0.0000
Zn 0.6485 0.1485 0.0000
Zn 0.8515 0.6485 0.0000
Ni 0.1569 0.6569 0.5000
Ni 0.3431 0.1569 0.5000
Ni 0.6569 0.8431 0.5000
Ni 0.8431 0.3431 0.5000
S 0.0000 0.0000 0.5000
S 0.5000 0.5000 0.5000

(8)
The following is a calculated powder diffraction line list of Ac6InPb6. It was derived from a crystal structure in Alexandria, relaxed with PBE, using λ = 1.5418 Å (Cu Kα).
Neutral-atom scattering factors, no anomalous dispersion.

Peak list (10 most intense, 10° ≤ 2θ ≤ 80°, by angle)
two_theta, I (rel.)
25.4, 29
29.4, 35
29.9, 41
31.4, 30
33.5, 100
34.8, 15
52.2, 29
55.0, 17
62.2, 26
63.4, 17

Structural model:
Unit cell a=7.0081 b=7.0081 c=11.3917 alpha=90.00 beta=90.00 gamma=120.00
Fractional positions:
Ac 0.0000 0.0000 0.1990
Ac 0.0000 0.0000 0.8010
Ac 0.3333 0.6667 0.0000
Ac 0.3333 0.6667 0.5000
Ac 0.6667 0.3333 0.0000
Ac 0.6667 0.3333 0.5000
In 0.0000 0.0000 0.5000
Pb 0.0000 0.5000 0.2503
Pb 0.0000 0.5000 0.7497
Pb 0.5000 0.0000 0.2503
Pb 0.5000 0.0000 0.7497
Pb 0.5000 0.5000 0.2503
Pb 0.5000 0.5000 0.7497

(9)
The following is a calculated powder diffraction line list of CsAl2SnS6. It was derived from a crystal structure in Alexandria, relaxed with PBE, using λ = 1.5418 Å (Cu Kα).
Neutral-atom scattering factors, no anomalous dispersion.

Peak list (10 most intense, 10° ≤ 2θ ≤ 80°, by angle)
two_theta, I (rel.)
13.8, 31
15.7, 100
20.3, 40
25.0, 37
25.1, 33
25.9, 40
28.9, 59
34.0, 29
41.6, 35
42.2, 29

Structural model:
Unit cell a=9.5711 b=9.5711 c=7.3696 alpha=103.14 beta=103.14 gamma=101.82
Fractional positions:
Cs 0.0976 0.9024 0.7500
Cs 0.9024 0.0976 0.2500
Al 0.2542 0.4163 0.9197
Al 0.4163 0.2542 0.4197
Al 0.5837 0.7458 0.5803
Al 0.7458 0.5837 0.0803
Sn 0.2217 0.7783 0.2500
Sn 0.7783 0.2217 0.7500
S 0.0400 0.2446 0.7434
S 0.2430 0.6523 0.9402
S 0.2446 0.0400 0.2434
S 0.3477 0.7570 0.5598
S 0.3518 0.4096 0.2323
S 0.4096 0.3518 0.7323
S 0.5904 0.6482 0.2677
S 0.6482 0.5904 0.7677
S 0.6523 0.2430 0.4402
S 0.7554 0.9600 0.7566
S 0.7570 0.3477 0.0598
S 0.9600 0.7554 0.2566

(10)
The following is a calculated powder diffraction line list of Ac3La4Pm2. It was derived from a crystal structure in Alexandria, relaxed with PBE, using λ = 1.5418 Å (Cu Kα).
Neutral-atom scattering factors, no anomalous dispersion.

Peak list (10 most intense, 10° ≤ 2θ ≤ 80°, by angle)
two_theta, I (rel.)
28.3, 52
28.7, 100
30.1, 89
35.0, 31
35.4, 27
46.2, 13
47.4, 13
48.3, 12
51.8, 35
62.5, 11

Structural model:
Unit cell a=10.7936 b=10.7936 c=6.4242 alpha=96.60 beta=96.60 gamma=70.27
Fractional positions:
Ac 0.1065 0.8935 0.7500
Ac 0.2243 0.4424 0.9117
Ac 0.4424 0.2243 0.4117
Ac 0.5576 0.7757 0.5883
Ac 0.7757 0.5576 0.0883
Ac 0.8935 0.1065 0.2500
La 0.0157 0.7432 0.1870
La 0.2568 0.9843 0.3130
La 0.3138 0.5878 0.4767
La 0.4122 0.6862 0.0233
La 0.5878 0.3138 0.9767
La 0.6862 0.4122 0.5233
La 0.7432 0.0157 0.6870
La 0.9843 0.2568 0.8130
Pm 0.0842 0.3502 0.3572
Pm 0.3502 0.0842 0.8572
Pm 0.6498 0.9158 0.1428
Pm 0.9158 0.6498 0.6428

(11)
The following is a calculated powder diffraction line list of RbCoRuS3. It was derived from a crystal structure in Alexandria, relaxed with PBE, using λ = 1.5418 Å (Cu Kα).
Neutral-atom scattering factors, no anomalous dispersion.

Peak list (10 most intense, 10° ≤ 2θ ≤ 80°, by angle)
two_theta, I (rel.)
15.1, 13
27.7, 35
28.0, 34
30.2, 100
30.5, 17
39.8, 66
50.6, 23
50.9, 37
54.9, 19
55.1, 18

Structural model:
Unit cell a=6.6915 b=6.6915 c=6.3759 alpha=90.00 beta=90.00 gamma=122.53
Fractional positions:
Rb 0.2427 0.7573 0.7500
Rb 0.7573 0.2427 0.2500
Co 0.0744 0.9256 0.2500
Co 0.9256 0.0744 0.7500
Ru 0.4400 0.5600 0.2500
Ru 0.5600 0.4400 0.7500
S 0.2443 0.2443 0.0000
S 0.2443 0.2443 0.5000
S 0.2521 0.7479 0.2500
S 0.7479 0.2521 0.7500
S 0.7557 0.7557 0.0000
S 0.7557 0.7557 0.5000

(12)
The following is a calculated powder diffraction line list of SrLa3Bi4. It was derived from a crystal structure in Alexandria, relaxed with PBE, using λ = 1.5418 Å (Cu Kα).
Neutral-atom scattering factors, no anomalous dispersion.

Peak list (10 most intense, 10° ≤ 2θ ≤ 80°, by angle)
two_theta, I (rel.)
23.0, 11
26.6, 100
38.0, 66
38.0, 13
46.9, 22
47.0, 7
54.8, 14
61.9, 32
68.5, 16
68.7, 12

Structural model:
Unit cell a=8.2108 b=9.4926 c=8.2049 alpha=90.00 beta=109.59 gamma=90.00
Fractional positions:
Sr 0.0000 0.1242 0.2500
Sr 0.0000 0.8758 0.7500
La 0.0000 0.3737 0.7500
La 0.0000 0.6263 0.2500
La 0.5000 0.1239 0.7500
La 0.5000 0.3742 0.2500
La 0.5000 0.6258 0.7500
La 0.5000 0.8761 0.2500
Bi 0.2522 0.3795 0.5044
Bi 0.2522 0.6205 0.0044
Bi 0.2587 0.1297 0.9988
Bi 0.2587 0.8703 0.4988
Bi 0.7413 0.1297 0.5012
Bi 0.7413 0.8703 0.0012
Bi 0.7478 0.3795 0.9956
Bi 0.7478 0.6205 0.4956